Structure and calculated X-ray diffraction stick pattern of Rb3ScSb2O8 (a crystal structure in Alexandria, relaxed with PBE; Cu Kα (weighted mean of Kα1 and Kα2)).
Neutral-atom scattering factors, no anomalous dispersion.

Most intense lines, 10 to 90 degrees two-theta, by intensity:
2θ/deg	intensity	h k l
29.36	100.0	1 1 0
27.90	69.1	0 1 2
40.94	34.9	2 0 2
51.18	25.5	1 2 2
54.69	21.0	1 1 4
20.14	20.2	0 1 1

Atomic structure:
Cell: 6.0839 6.0839 8.0487 Å, 90.00 90.00 120.00°
Sites, in units of the cell vectors:
Rb 0.0000 0.0000 0.0000
Rb 0.3333 0.6667 0.6918
Rb 0.6667 0.3333 0.3082
Sc 0.0000 0.0000 0.5000
Sb 0.3333 0.6667 0.2553
Sb 0.6667 0.3333 0.7447
O 0.1642 0.3285 0.3438
O 0.1642 0.8358 0.3438
O 0.3285 0.1642 0.6562
O 0.3333 0.6667 0.0235
O 0.6667 0.3333 0.9765
O 0.6715 0.8358 0.3438
O 0.8358 0.1642 0.6562
O 0.8358 0.6715 0.6562



Structure and calculated X-ray diffraction stick pattern of PrEr5Tm5 (a crystal structure in Alexandria, relaxed with PBE; Cu Kα (weighted mean of Kα1 and Kα2)).
Neutral-atom scattering factors, no anomalous dispersion.

Most intense lines, 10 to 90 degrees two-theta, by intensity:
2θ/deg	intensity	h k l
28.90	100.0	1 0 3
29.80	84.4	1 1 0
38.04	46.8	2 0 2
52.34	38.5	2 1 3
35.44	37.3	2 0 1
35.62	35.5	1 0 4

Atomic structure:
Cell: 5.9964 5.9964 11.5295 Å, 90.00 90.00 120.00°
Sites, in units of the cell vectors:
Pr 0.0000 0.0000 0.0000
Er 0.0000 0.0000 0.3253
Er 0.0000 0.0000 0.6747
Er 0.3333 0.6667 0.1578
Er 0.3333 0.6667 0.8422
Er 0.6667 0.3333 0.0000
Tm 0.0007 0.5003 0.5000
Tm 0.4997 0.5003 0.5000
Tm 0.4997 0.9993 0.5000
Tm 0.6667 0.3333 0.2648
Tm 0.6667 0.3333 0.7352



Structure and calculated X-ray diffraction stick pattern of Al5Os4 (a crystal structure in Alexandria, relaxed with PBE; Cu Kα (weighted mean of Kα1 and Kα2)).
Neutral-atom scattering factors, no anomalous dispersion.

Most intense lines, 10 to 90 degrees two-theta, by intensity:
2θ/deg	intensity	h k l
29.20	100.0	1 1 1
41.93	77.4	3 0 0
41.61	75.5	1 1 2
27.60	32.8	2 0 0
85.65	24.7	3 0 4
60.56	20.3	2 2 2

Atomic structure:
Cell: 7.4636 7.4636 5.3354 Å, 90.00 90.00 120.00°
Sites, in units of the cell vectors:
Al 0.0000 0.2977 0.2500
Al 0.0000 0.7023 0.7500
Al 0.2977 0.0000 0.2500
Al 0.2977 0.2977 0.7500
Al 0.3333 0.6667 0.0000
Al 0.3333 0.6667 0.5000
Al 0.6667 0.3333 0.0000
Al 0.6667 0.3333 0.5000
Al 0.7023 0.0000 0.7500
Al 0.7023 0.7023 0.2500
Os 0.0000 0.0000 0.0000
Os 0.0000 0.0000 0.5000
Os 0.0000 0.3683 0.7500
Os 0.0000 0.6317 0.2500
Os 0.3683 0.0000 0.7500
Os 0.3683 0.3683 0.2500
Os 0.6317 0.0000 0.2500
Os 0.6317 0.6317 0.7500



Structure and calculated X-ray diffraction stick pattern of SmZn2SiIr2 (a crystal structure in Alexandria, relaxed with PBE; Cu Kα (weighted mean of Kα1 and Kα2)).
Neutral-atom scattering factors, no anomalous dispersion.

Most intense lines, 10 to 90 degrees two-theta, by intensity:
2θ/deg	intensity	h k l
32.35	100.0	1 1 1
40.21	50.0	2 0 0
15.65	29.2	0 0 1
68.16	26.7	3 1 1
37.57	24.4	1 0 2
42.82	19.4	1 1 2

Atomic structure:
Cell: 4.4853 4.4853 5.6618 Å, 90.00 90.00 90.00°
Sites, in units of the cell vectors:
Sm 0.0000 0.0000 0.0000
Zn 0.5000 0.5000 0.2251
Zn 0.5000 0.5000 0.7749
Si 0.0000 0.0000 0.5000
Ir 0.0000 0.5000 0.5000
Ir 0.5000 0.0000 0.5000